Record 1
Theoretical X-ray powder pattern
Compound: SrLaMnSbO6
Radiation: Cu Kα X-rays
Structure: the GGA+U geometry in the Materials Project
Peak positions follow from Bragg's law for the DFT cell and can differ from measured ones.

Principal peaks in the range 10 to 90 degrees two-theta, by intensity:
hkl  d_spacing  I (rel.)
1 1 1  2.888  1000
2 2 -2  2.047  251
2 0 -2  2.863  241
2 0 -6  1.659  229
0 2 0  2.928  228
0 0 4  2.037  145
1 3 1  1.683  143
2 2 2  1.444  135
3 1 -5  1.657  111
0 2 4  1.672  102

Atomic structure:
```
data_SrLaMnSbO6
_chemical_formula_sum 'Sr2 La2 Mn2 Sb2 O12'
_symmetry_space_group_name_H-M 'P 1 c 1'
_symmetry_Int_Tables_number 7
_cell_length_a 5.7268
_cell_length_b 5.8568
_cell_length_c 9.9550
_cell_angle_alpha 90.00
_cell_angle_beta 125.07
_cell_angle_gamma 90.00
loop_
_symmetry_equiv_pos_as_xyz
'x,y,z'
'x,-y,z+1/2'
loop_
_atom_site_label
_atom_site_type_symbol
_atom_site_fract_x
_atom_site_fract_y
_atom_site_fract_z
_atom_site_occupancy
Sr1 Sr 0.0000 0.2118 0.0000 1
La1 La 0.5241 0.3012 0.5018 1
Mn1 Mn 0.7599 0.2441 0.2498 1
Sb1 Sb 0.2589 0.2472 0.7495 1
O1 O 0.0054 0.4787 0.2010 1
O2 O 0.1177 0.2240 0.5106 1
O3 O 0.4206 0.2826 0.9893 1
O4 O 0.4962 0.0376 0.3001 1
O5 O 0.5750 0.4540 0.7897 1
O6 O 0.9246 0.0567 0.7015 1
```

---

Record 2
Theoretical X-ray powder pattern
Compound: La2MnSe2O2
Radiation: Cu Kα X-rays
Structure: the GGA+U geometry in the Materials Project
Peak positions follow from Bragg's law for the DFT cell and can differ from measured ones.

Principal peaks in the range 10 to 90 degrees two-theta, by intensity:
hkl  d_spacing  I (rel.)
3 3 1  2.860  1000
6 0 0  2.974  483
9 3 1  1.694  239
1 3 1  3.209  222
0 0 2  2.017  206
0 6 0  2.773  200
6 0 2  1.669  171
6 6 0  2.028  166
3 9 1  1.617  113
6 6 2  1.430  106

Atomic structure:
```
data_La2MnSe2O2
_chemical_formula_sum 'La16 Mn8 Se16 O16'
_symmetry_space_group_name_H-M 'P n a 21'
_symmetry_Int_Tables_number 33
_cell_length_a 17.8461
_cell_length_b 16.6355
_cell_length_c 4.0337
_cell_angle_alpha 90.00
_cell_angle_beta 90.00
_cell_angle_gamma 90.00
loop_
_symmetry_equiv_pos_as_xyz
'x,y,z'
'-x,-y,z+1/2'
'-x+1/2,y+1/2,z+1/2'
'x+1/2,-y+1/2,z'
loop_
_atom_site_label
_atom_site_type_symbol
_atom_site_fract_x
_atom_site_fract_y
_atom_site_fract_z
_atom_site_occupancy
La1 La 0.0842 0.1769 0.0000 1
La2 La 0.0864 0.6704 0.4958 1
La3 La 0.0887 0.4776 0.9947 1
La4 La 0.0888 0.9839 0.4994 1
Mn1 Mn 0.2226 0.8348 0.0033 1
Mn2 Mn 0.2490 0.1116 0.5114 1
Se1 Se 0.0627 0.3276 0.5001 1
Se2 Se 0.0747 0.8303 0.9964 1
Se3 Se 0.2480 0.2410 0.0032 1
Se4 Se 0.2490 0.9881 0.9955 1
O1 O 0.0432 0.0422 0.9996 1
O2 O 0.0457 0.5375 0.4950 1
O3 O 0.1337 0.1216 0.5008 1
O4 O 0.1367 0.6166 0.9965 1
```

---

Record 3
Theoretical X-ray powder pattern
Compound: La2MnSe2O2
Radiation: Cu Kα X-rays
Structure: the GGA+U geometry in the Materials Project
Peak positions follow from Bragg's law for the DFT cell and can differ from measured ones.

Principal peaks in the range 10 to 90 degrees two-theta, by intensity:
hkl  d_spacing  I (rel.)
1 3 -3  2.859  1000
0 0 6  2.958  489
1 3 -9  1.688  239
1 3 1  3.212  229
2 0 0  2.019  206
0 6 0  2.777  202
2 0 6  1.667  175
0 6 6  2.025  171
1 9 3  1.618  130
1 3 2  3.065  106

Atomic structure:
```
data_La2MnSe2O2
_chemical_formula_sum 'La16 Mn8 Se16 O16'
_symmetry_space_group_name_H-M 'C 1 c 1'
_symmetry_Int_Tables_number 9
_cell_length_a 4.0374
_cell_length_b 16.6590
_cell_length_c 17.7506
_cell_angle_alpha 90.00
_cell_angle_beta 90.02
_cell_angle_gamma 90.00
loop_
_symmetry_equiv_pos_as_xyz
'x,y,z'
'x,-y,z+1/2'
'x+1/2,y+1/2,z'
'x+1/2,-y+1/2,z+1/2'
loop_
_atom_site_label
_atom_site_type_symbol
_atom_site_fract_x
_atom_site_fract_y
_atom_site_fract_z
_atom_site_occupancy
La1 La 0.0000 0.0758 0.0000 1
La2 La 0.9999 0.0770 0.6698 1
La3 La 0.4993 0.2679 0.6743 1
La4 La 0.4990 0.2707 0.9963 1
Mn1 Mn 0.0027 0.4156 0.8108 1
Mn2 Mn 0.4751 0.1390 0.8355 1
Se1 Se 0.9997 0.4204 0.6593 1
Se2 Se 0.0020 0.0097 0.8362 1
Se3 Se 0.4925 0.2378 0.3360 1
Se4 Se 0.4988 0.0781 0.5190 1
O1 O 0.4987 0.1310 0.7207 1
O2 O 0.4985 0.1308 0.9506 1
O3 O 0.4990 0.2893 0.1301 1
O4 O 0.4990 0.2904 0.5413 1
```

---

Record 4
Theoretical X-ray powder pattern
Compound: La7SmMn8O24
Radiation: Cu Kα X-rays
Structure: the GGA+U geometry in the Materials Project
Peak positions follow from Bragg's law for the DFT cell and can differ from measured ones.

Principal peaks in the range 10 to 90 degrees two-theta, by intensity:
hkl  d_spacing  I (rel.)
2 2 0  2.784  1000
4 2 2  1.607  383
4 0 0  1.969  329
2 2 2  2.273  204
4 4 0  1.392  193
6 2 0  1.245  162
2 0 0  3.937  152
4 2 0  1.761  80
6 2 2  1.187  66
4 4 4  1.137  64

Atomic structure:
```
data_La7SmMn8O24
_chemical_formula_sum 'La7 Sm1 Mn8 O24'
_symmetry_space_group_name_H-M 'P m -3 m'
_symmetry_Int_Tables_number 221
_symmetry_space_group_name_Hall '-P 4 2 3'
_cell_length_a 7.8744
_cell_length_b 7.8744
_cell_length_c 7.8744
_cell_angle_alpha 90.00
_cell_angle_beta 90.00
_cell_angle_gamma 90.00
loop_
_atom_site_label
_atom_site_type_symbol
_atom_site_fract_x
_atom_site_fract_y
_atom_site_fract_z
_atom_site_occupancy
La1 La 0.0000 0.0000 0.0000 1
La2 La 0.0000 0.0000 0.5000 1
La3 La 0.0000 0.5000 0.5000 1
Sm1 Sm 0.5000 0.5000 0.5000 1
Mn1 Mn 0.2504 0.2504 0.2504 1
O1 O 0.0000 0.2501 0.2501 1
O2 O 0.2519 0.2519 0.5000 1
```

---

Record 5
Theoretical X-ray powder pattern
Compound: La4SmMn5O15
Radiation: Cu Kα X-rays
Structure: the GGA+U geometry in the Materials Project
Peak positions follow from Bragg's law for the DFT cell and can differ from measured ones.

Principal peaks in the range 10 to 90 degrees two-theta, by intensity:
hkl  d_spacing  I (rel.)
2 0 0  2.782  1000
3 5 1  1.606  383
2 10 0  1.967  328
2 0 1  2.272  204
4 0 0  1.391  192
4 10 0  1.244  162
1 5 0  3.934  155
1 15 0  1.760  82
4 10 1  1.186  66
4 0 2  1.136  64

Atomic structure:
```
data_La4SmMn5O15
_chemical_formula_sum 'La8 Sm2 Mn10 O30'
_symmetry_space_group_name_H-M 'C m m m'
_symmetry_Int_Tables_number 65
_symmetry_space_group_name_Hall '-C 2 2'
_cell_length_a 5.5649
_cell_length_b 27.8309
_cell_length_c 3.9323
_cell_angle_alpha 90.00
_cell_angle_beta 90.00
_cell_angle_gamma 90.00
loop_
_atom_site_label
_atom_site_type_symbol
_atom_site_fract_x
_atom_site_fract_y
_atom_site_fract_z
_atom_site_occupancy
La1 La 0.0000 0.0999 0.0000 1
La2 La 0.0000 0.3002 0.0000 1
Sm1 Sm 0.0000 0.5000 0.0000 1
Mn1 Mn 0.0000 0.0000 0.5000 1
Mn2 Mn 0.0000 0.2002 0.5000 1
Mn3 Mn 0.0000 0.4008 0.5000 1
O1 O 0.0000 0.0000 0.0000 1
O2 O 0.0000 0.2006 0.0000 1
O3 O 0.0000 0.4018 0.0000 1
O4 O 0.2482 0.4513 0.5000 1
O5 O 0.2492 0.1499 0.5000 1
O6 O 0.2500 0.2500 0.5000 1
```

---

Record 6
Theoretical X-ray powder pattern
Compound: SrLaMnSnO6
Radiation: Cu Kα X-rays
Structure: the GGA+U geometry in the Materials Project
Peak positions follow from Bragg's law for the DFT cell and can differ from measured ones.

Principal peaks in the range 10 to 90 degrees two-theta, by intensity:
hkl  d_spacing  I (rel.)
1 1 1  2.860  1000
0 0 4  2.023  286
2 0 -6  1.650  227
3 1 -5  1.653  196
2 2 -6  1.430  127
1 0 -2  4.671  105
1 1 5  1.279  74
1 0 -4  2.440  73
4 2 -4  1.280  51
2 0 0  2.336  35

Atomic structure:
```
data_SrLaMnSnO6
_chemical_formula_sum 'Sr2 La2 Mn2 Sn2 O12'
_symmetry_space_group_name_H-M 'P 1 c 1'
_symmetry_Int_Tables_number 7
_cell_length_a 5.7323
_cell_length_b 5.7149
_cell_length_c 9.9054
_cell_angle_alpha 90.00
_cell_angle_beta 125.32
_cell_angle_gamma 90.00
loop_
_symmetry_equiv_pos_as_xyz
'x,y,z'
'x,-y,z+1/2'
loop_
_atom_site_label
_atom_site_type_symbol
_atom_site_fract_x
_atom_site_fract_y
_atom_site_fract_z
_atom_site_occupancy
Sr1 Sr 0.0000 0.2267 0.0000 1
La1 La 0.5143 0.2879 0.5011 1
Mn1 Mn 0.7531 0.2476 0.2498 1
Sn1 Sn 0.2541 0.2459 0.7499 1
O1 O 0.0934 0.2294 0.4990 1
O2 O 0.4375 0.2815 0.0024 1
O3 O 0.5024 0.0395 0.2981 1
O4 O 0.5835 0.4814 0.7895 1
O5 O 0.9077 0.0304 0.7077 1
O6 O 0.9949 0.4782 0.2075 1
```

---

Record 7
Theoretical X-ray powder pattern
Compound: Sr4LaMn5O13
Radiation: Cu Kα X-rays
Structure: the GGA+U geometry in the Materials Project
Peak positions follow from Bragg's law for the DFT cell and can differ from measured ones.

Principal peaks in the range 10 to 90 degrees two-theta, by intensity:
hkl  d_spacing  I (rel.)
2 2 1  2.770  1000
4 2 -3  2.760  894
2 0 -4  2.823  484
6 0 -2  2.806  473
8 2 -1  1.615  354
8 0 -6  1.983  316
0 4 0  1.922  307
4 0 2  1.998  304
10 2 -5  1.609  194
6 2 -2  2.267  186

Atomic structure:
```
data_Sr4LaMn5O13
_chemical_formula_sum 'Sr16 La4 Mn20 O52'
_symmetry_space_group_name_H-M 'C 1 2/m 1'
_symmetry_Int_Tables_number 12
_cell_length_a 17.7193
_cell_length_b 7.6874
_cell_length_c 12.5718
_cell_angle_alpha 90.00
_cell_angle_beta 134.66
_cell_angle_gamma 90.00
loop_
_symmetry_equiv_pos_as_xyz
'x,y,z'
'-x,-y,-z'
'-x,y,-z'
'x,-y,z'
'x+1/2,y+1/2,z'
'-x+1/2,-y+1/2,-z'
'-x+1/2,y+1/2,-z'
'x+1/2,-y+1/2,z'
loop_
_atom_site_label
_atom_site_type_symbol
_atom_site_fract_x
_atom_site_fract_y
_atom_site_fract_z
_atom_site_occupancy
Sr1 Sr 0.1091 0.2504 0.3204 1
Sr2 Sr 0.2071 0.2488 0.1155 1
La1 La 0.0000 0.2498 0.5000 1
Mn1 Mn 0.0000 0.0000 0.0000 1
Mn2 Mn 0.0000 0.5000 0.0000 1
Mn3 Mn 0.0984 0.5000 0.8055 1
Mn4 Mn 0.0997 0.0000 0.8049 1
Mn5 Mn 0.2028 0.0000 0.6061 1
Mn6 Mn 0.2032 0.5000 0.6047 1
O1 O 0.0461 0.0000 0.4140 1
O2 O 0.0501 0.5000 0.4137 1
O3 O 0.0573 0.5000 0.9152 1
O4 O 0.0591 0.0000 0.9171 1
O5 O 0.1264 0.2499 0.8413 1
O6 O 0.1390 0.0000 0.1954 1
O7 O 0.1406 0.5000 0.1955 1
O8 O 0.1555 0.5000 0.7224 1
O9 O 0.1593 0.0000 0.7192 1
O10 O 0.1958 0.2527 0.6013 1
O11 O 0.2460 0.0000 0.5028 1
```

---

Record 8
Theoretical X-ray powder pattern
Compound: Sr3La5Mn8O24
Radiation: Cu Kα X-rays
Structure: the GGA+U geometry in the Materials Project
Peak positions follow from Bragg's law for the DFT cell and can differ from measured ones.

Principal peaks in the range 10 to 90 degrees two-theta, by intensity:
hkl  d_spacing  I (rel.)
4 0 -2  2.768  1000
2 2 1  2.789  982
0 0 4  1.965  657
0 4 4  1.606  396
4 0 0  2.275  249
4 0 2  1.610  217
0 0 2  3.930  193
8 0 -4  1.384  189
6 2 -5  1.594  188
4 4 2  1.395  179

Atomic structure:
```
data_Sr3La5Mn8O24
_chemical_formula_sum 'Sr6 La10 Mn16 O48'
_symmetry_space_group_name_H-M 'C 1 2 1'
_symmetry_Int_Tables_number 5
_cell_length_a 11.0694
_cell_length_b 11.1542
_cell_length_c 9.5683
_cell_angle_alpha 90.00
_cell_angle_beta 124.73
_cell_angle_gamma 90.00
loop_
_symmetry_equiv_pos_as_xyz
'x,y,z'
'-x,y,-z'
'x+1/2,y+1/2,z'
'-x+1/2,y+1/2,-z'
loop_
_atom_site_label
_atom_site_type_symbol
_atom_site_fract_x
_atom_site_fract_y
_atom_site_fract_z
_atom_site_occupancy
Sr1 Sr 0.0000 0.0000 0.0000 1
Sr2 Sr 0.0000 0.2480 0.5000 1
Sr3 Sr 0.0000 0.7482 0.5000 1
La1 La 0.0000 0.4988 0.0000 1
La2 La 0.2492 0.9985 0.4980 1
La3 La 0.2501 0.2487 0.9998 1
Mn1 Mn 0.1243 0.9988 0.7494 1
Mn2 Mn 0.1250 0.2481 0.2501 1
Mn3 Mn 0.1253 0.4987 0.7494 1
Mn4 Mn 0.1256 0.7490 0.2510 1
O1 O 0.0000 0.2308 0.0000 1
O2 O 0.0000 0.4786 0.5000 1
O3 O 0.0000 0.7223 0.0000 1
O4 O 0.0000 0.9776 0.5000 1
O5 O 0.0262 0.1106 0.2762 1
O6 O 0.0269 0.3629 0.7817 1
O7 O 0.0270 0.6076 0.2723 1
O8 O 0.0283 0.8595 0.7785 1
O9 O 0.2239 0.3867 0.2238 1
O10 O 0.2294 0.8833 0.2282 1
O11 O 0.2298 0.6343 0.7310 1
O12 O 0.2318 0.1328 0.7318 1
O13 O 0.2448 0.5255 0.9997 1
O14 O 0.2493 0.7763 0.5000 1
```